For SrBiH2O4, a crystal structure in Alexandria, relaxed with GGA-PBE gives the computed XRD peak list in this record (CuKα).
Kinematic intensities with the Lorentz-polarization factor, no thermal factor.

Principal peaks in the range 2θ from 10° to 80°, by angle:
- d 4.411, intensity 326
- d 3.790, intensity 1000
- d 3.318, intensity 258
- d 2.952, intensity 295
- d 2.496, intensity 887
- d 2.206, intensity 291
- d 1.982, intensity 253
- d 1.895, intensity 187
- d 1.646, intensity 218
- d 1.601, intensity 211

Atomic structure:
a = 5.082 Å, b = 5.082 Å, c = 5.082 Å
α = 121.81°, β = 108.97°, γ = 98.50°
Positions (direct):
Sr 0.000 0.000 0.000
Bi 0.500 0.500 0.000
H 0.302 0.802 0.500
H 0.698 0.198 0.500
O 0.157 0.982 0.551
O 0.432 0.606 0.449
O 0.568 0.018 0.174
O 0.843 0.394 0.826